No. 1
This entry pairs a crystal structure of CuSb6S2O16 with its theoretical XRD peak list. Radiation: Cu Kα X-rays. Structure: a crystal structure in Alexandria, relaxed with PBE.
Neutral-atom scattering factors, no anomalous dispersion.

Top 12 peaks for 2θ = 10–90°, most intense first:
| d_spacing | 2θ/deg | I (rel.) | hkl |
| --- | --- | --- | --- |
| 3.480 | 25.60 | 100.0 | 1 -2 1 |
| 3.326 | 26.81 | 85.8 | 1 1 1 |
| 3.158 | 28.26 | 52.8 | 1 1 -2 |
| 2.767 | 32.36 | 47.1 | -1 2 2 |
| 3.111 | 28.69 | 37.5 | 0 0 3 |
| 5.369 | 16.51 | 36.9 | 1 0 0 |
| 2.431 | 36.97 | 28.6 | 0 3 0 |
| 2.377 | 37.84 | 28.0 | 2 -1 2 |
| 2.757 | 32.47 | 27.4 | -2 1 1 |
| 1.759 | 51.98 | 15.7 | -2 4 1 |
| 2.066 | 43.81 | 14.4 | 0 3 -3 |
| 2.982 | 29.97 | 14.3 | 1 -2 2 |

Cell and atoms:
```
CuSb6S2O16
1.0
5.6980 0.0000 0.0000
-2.5442 7.3732 0.0000
-0.5089 -1.3627 9.3331
Cu Sb S O
1 6 2 16
Cartesian
0.0000 0.0000 0.0000
-1.1507 6.2541 6.7324
0.8165 2.1758 2.7873
-0.1700 3.5998 9.1841
2.8148 2.4107 0.1490
1.8283 3.8346 6.5458
3.7955 -0.2437 2.6007
-1.1706 4.8025 3.3272
3.8154 1.2080 6.0059
-0.3259 0.9067 1.7106
-1.1158 3.4668 2.6051
-0.5067 0.9305 5.5832
-0.7277 5.8544 2.3091
1.0600 -0.3154 8.6115
-0.2053 4.7933 4.4479
0.1156 4.8129 7.4393
1.2958 3.3197 1.1717
1.3490 2.6908 8.1614
2.5291 1.1976 1.8938
2.8501 1.2172 4.8852
1.5848 6.3259 0.7216
3.3725 0.1561 7.0240
3.1515 5.0800 3.7499
3.7605 2.5436 6.7280
2.9707 5.1037 7.6225
```


No. 2
This entry pairs a crystal structure of Sm2CuTe2S2O14 with its theoretical XRD peak list. Radiation: Cu Kα X-rays. Structure: a crystal structure in Alexandria, relaxed with PBE.
Neutral-atom scattering factors, no anomalous dispersion.

Top 12 peaks for 2θ = 10–90°, most intense first:
| d_spacing | 2θ/deg | I (rel.) | hkl |
| --- | --- | --- | --- |
| 3.534 | 25.20 | 100.0 | 0 2 0 |
| 3.030 | 29.48 | 72.6 | -1 2 1 |
| 3.650 | 24.39 | 70.6 | 1 1 2 |
| 3.692 | 24.11 | 65.5 | 1 0 -1 |
| 6.904 | 12.82 | 63.7 | 0 1 1 |
| 4.018 | 22.12 | 48.8 | 0 1 2 |
| 3.338 | 26.71 | 43.7 | 1 0 2 |
| 2.628 | 34.11 | 42.2 | 1 -1 2 |
| 3.279 | 27.20 | 39.0 | 1 2 1 |
| 2.361 | 38.11 | 37.0 | 2 -1 1 |
| 4.746 | 18.70 | 32.2 | 1 0 1 |
| 2.602 | 34.47 | 32.1 | 1 0 -2 |

Cell and atoms:
```
Sm2CuTe2S2O14
1.0
5.2637 0.0000 0.0000
0.6167 8.0318 0.0000
2.2042 3.8230 7.0797
Sm Cu Te S O
2 1 2 2 14
Cartesian
0.5397 2.0808 0.1374
7.5449 9.7740 6.9423
1.1021 1.9115 3.5399
4.4691 8.3687 4.5941
3.6155 3.4861 2.4856
2.3884 6.9396 1.7927
5.6962 4.9152 5.2870
2.2172 7.5984 3.0928
1.7185 5.6057 1.7171
1.6975 7.7386 0.7023
3.3580 9.9746 4.6154
3.6465 7.9009 6.2561
2.1039 2.4850 1.8548
4.2485 5.0717 5.5773
3.8360 6.7831 1.5024
5.9807 9.3698 5.2249
4.4380 3.9540 0.8236
4.7266 1.8802 2.4643
6.3871 4.1162 6.3774
6.3660 6.2491 5.3626
5.8674 4.2565 3.9869
```


No. 3
This entry pairs a crystal structure of Sr2CuSO2 with its theoretical XRD peak list. Radiation: Cu Kα X-rays. Structure: a crystal structure in Alexandria, relaxed with PBE.
Neutral-atom scattering factors, no anomalous dispersion.

Top 12 peaks for 2θ = 10–90°, most intense first:
| d_spacing | 2θ/deg | I (rel.) | hkl |
| --- | --- | --- | --- |
| 2.580 | 34.77 | 100.0 | 1 0 2 |
| 2.760 | 32.44 | 46.7 | 1 1 0 |
| 1.556 | 59.38 | 40.2 | 2 1 2 |
| 1.952 | 46.53 | 26.3 | 2 0 0 |
| 6.876 | 12.87 | 17.9 | 0 0 1 |
| 1.459 | 63.78 | 13.2 | 1 1 4 |
| 1.290 | 73.40 | 12.5 | 2 0 4 |
| 3.903 | 22.78 | 9.8 | 1 0 0 |
| 1.217 | 78.62 | 8.8 | 3 0 2 |
| 2.152 | 41.98 | 8.6 | 1 1 2 |
| 1.719 | 53.29 | 8.6 | 0 0 4 |
| 1.380 | 67.92 | 7.9 | 2 2 0 |

Cell and atoms:
```
Sr2CuSO2
1.0
3.9032 0.0000 0.0000
0.0000 3.9032 0.0000
0.0000 0.0000 6.8764
Sr Cu S O
2 1 1 2
Cartesian
0.0000 0.0000 1.7101
0.0000 0.0000 5.1663
1.9516 1.9516 0.0000
1.9516 1.9516 3.4382
0.0000 1.9516 0.0000
1.9516 0.0000 0.0000
```


No. 4
This entry pairs a crystal structure of Y2CuTe2S2O14 with its theoretical XRD peak list. Radiation: Cu Kα X-rays. Structure: a crystal structure in Alexandria, relaxed with PBE.
Neutral-atom scattering factors, no anomalous dispersion.

Top 12 peaks for 2θ = 10–90°, most intense first:
| d_spacing | 2θ/deg | I (rel.) | hkl |
| --- | --- | --- | --- |
| 3.498 | 25.46 | 100.0 | 0 2 0 |
| 6.809 | 13.00 | 90.1 | 0 1 1 |
| 3.611 | 24.65 | 79.8 | 1 1 2 |
| 2.990 | 29.88 | 75.6 | -1 2 1 |
| 3.972 | 22.38 | 73.9 | 0 1 2 |
| 3.659 | 24.33 | 57.2 | 1 0 -1 |
| 3.302 | 27.00 | 43.1 | 1 0 2 |
| 2.431 | 36.98 | 42.0 | 1 3 2 |
| 2.586 | 34.69 | 38.6 | 0 2 3 |
| 2.336 | 38.54 | 37.3 | 2 -1 1 |
| 3.252 | 27.43 | 34.4 | 1 2 1 |
| 2.919 | 30.63 | 34.1 | 1 1 -1 |

Cell and atoms:
```
Y2CuTe2S2O14
1.0
5.2188 0.0000 0.0000
0.6424 7.9340 0.0000
2.1864 3.7439 7.0059
Y Cu Te S O
2 1 2 2 14
Cartesian
0.5455 2.0651 0.1385
7.5021 9.6128 6.8674
1.0932 1.8719 3.5030
4.4638 8.2348 4.5697
3.5838 3.4431 2.4362
2.3960 6.8413 1.7527
5.6516 4.8366 5.2532
1.7073 5.5164 1.6721
2.2394 7.4865 3.0614
1.7083 7.6487 0.6723
3.6113 7.7768 6.2177
3.3623 9.8459 4.5931
2.0774 2.4339 1.8011
4.2052 5.0127 5.5418
3.8424 6.6652 1.4642
5.9702 9.2440 5.2048
4.6852 1.8320 2.4128
4.4363 3.9011 0.7882
6.3393 4.0292 6.3336
5.8082 4.1914 3.9446
6.3403 6.1615 5.3339
```